(1)
Diffraction record for Sr2PmTl4. The powder diffraction line list is calculated, not measured: it uses DFT lattice parameters and positions (PBE) and Cu Kα (λ = 1.5418 Å).

Crystal structure
```
data_Sr2PmTl4
_chemical_formula_sum 'Sr4 Pm2 Tl8'
_space_group_name_H-M_alt 'P 1'
_space_group_IT_number 1
_cell_length_a 5.5726
_cell_length_b 5.5726
_cell_length_c 15.4161
_cell_angle_alpha 90.00
_cell_angle_beta 90.00
_cell_angle_gamma 90.00
loop_
_space_group_symop_operation_xyz
'x,y,z'
loop_
_atom_site_label
_atom_site_type_symbol
_atom_site_fract_x
_atom_site_fract_y
_atom_site_fract_z
_atom_site_occupancy
Sr1 Sr 0.0000 0.0000 0.2430 1
Sr2 Sr 0.0000 0.0000 0.7570 1
Sr3 Sr 0.5000 0.5000 0.2570 1
Sr4 Sr 0.5000 0.5000 0.7430 1
Pm1 Pm 0.0000 0.0000 0.5000 1
Pm2 Pm 0.5000 0.5000 0.0000 1
Tl1 Tl 0.0000 0.5000 0.1068 1
Tl2 Tl 0.0000 0.5000 0.3932 1
Tl3 Tl 0.0000 0.5000 0.6068 1
Tl4 Tl 0.0000 0.5000 0.8932 1
Tl5 Tl 0.5000 0.0000 0.1068 1
Tl6 Tl 0.5000 0.0000 0.3932 1
Tl7 Tl 0.5000 0.0000 0.6068 1
Tl8 Tl 0.5000 0.0000 0.8932 1
```

Most intense lines, 2θ = 10–80°, by angle:
2theta  I/Imax  hkl
16.92  8.9  1 0 1
22.56  25.4  1 1 0
32.12  60.3  2 0 0
32.50  100.0  1 1 4
41.98  10.8  1 1 6
46.07  22.4  2 2 0
48.18  8.7  2 0 6
57.51  39.9  3 1 4
58.21  11.4  2 0 8
76.44  10.2  4 2 0



(2)
Diffraction record for MgPPd2Pt. The powder diffraction line list is calculated, not measured: it uses DFT lattice parameters and positions (PBE) and Cu Kα (λ = 1.5418 Å).

Crystal structure
```
data_MgPPd2Pt
_chemical_formula_sum 'Mg1 P1 Pd2 Pt1'
_space_group_name_H-M_alt 'P 1'
_space_group_IT_number 1
_cell_length_a 3.9332
_cell_length_b 3.9332
_cell_length_c 5.5825
_cell_angle_alpha 90.00
_cell_angle_beta 90.00
_cell_angle_gamma 90.00
loop_
_space_group_symop_operation_xyz
'x,y,z'
loop_
_atom_site_label
_atom_site_type_symbol
_atom_site_fract_x
_atom_site_fract_y
_atom_site_fract_z
_atom_site_occupancy
Mg1 Mg 0.0000 0.0000 0.0000 1
P1 P 0.5000 0.5000 0.6231 1
Pd1 Pd 0.0000 0.5000 0.3910 1
Pd2 Pd 0.5000 0.0000 0.3910 1
Pt1 Pt 0.5000 0.5000 0.0205 1
```

Most intense lines, 2θ = 10–80°, by angle:
2theta  I/Imax  hkl
15.88  25.3  0 0 1
22.61  43.0  1 0 0
27.75  26.3  1 0 1
32.07  19.1  0 0 2
36.08  100.0  1 1 1
39.59  16.7  1 0 2
46.11  74.0  2 0 0
57.31  14.6  2 0 2
69.55  16.0  2 0 3
78.84  20.4  3 1 1



(3)
Diffraction record for NaLiB12. The powder diffraction line list is calculated, not measured: it uses DFT lattice parameters and positions (PBE) and Cu Kα (λ = 1.5418 Å).

Crystal structure
```
data_NaLiB12
_chemical_formula_sum 'Na1 Li1 B12'
_space_group_name_H-M_alt 'P 1'
_space_group_IT_number 1
_cell_length_a 4.1509
_cell_length_b 4.1509
_cell_length_c 8.3085
_cell_angle_alpha 90.00
_cell_angle_beta 90.00
_cell_angle_gamma 90.00
loop_
_space_group_symop_operation_xyz
'x,y,z'
loop_
_atom_site_label
_atom_site_type_symbol
_atom_site_fract_x
_atom_site_fract_y
_atom_site_fract_z
_atom_site_occupancy
Na1 Na 0.0000 0.0000 0.0000 1
Li1 Li 0.0000 0.0000 0.5000 1
B1 B 0.1976 0.5000 0.2511 1
B2 B 0.1976 0.5000 0.7489 1
B3 B 0.5000 0.1976 0.2511 1
B4 B 0.5000 0.1976 0.7489 1
B5 B 0.5000 0.5000 0.0992 1
B6 B 0.5000 0.5000 0.4018 1
B7 B 0.5000 0.5000 0.5982 1
B8 B 0.5000 0.5000 0.9008 1
B9 B 0.5000 0.8024 0.2511 1
B10 B 0.5000 0.8024 0.7489 1
B11 B 0.8024 0.5000 0.2511 1
B12 B 0.8024 0.5000 0.7489 1
```

Most intense lines, 2θ = 10–80°, by angle:
2theta  I/Imax  hkl
10.65  37.3  0 0 1
21.40  88.1  1 0 0
23.96  27.1  1 0 1
30.45  100.0  1 1 0
32.34  15.8  0 0 3
37.52  77.0  1 1 2
43.60  43.7  2 0 0
49.06  30.7  2 1 0
67.70  72.6  2 2 2
71.91  41.5  3 1 0